(1)
Structure and computed X-ray powder pattern of LiLa6Y (a structure optimized by DFT (PBE); λ = 1.5418 Å (Cu Kα)).

Principal peaks in the range 2θ from 10° to 90°, low angle first:
d (Å), two_theta, I_rel
3.476, 25.63, 7
2.980, 29.99, 100
2.620, 34.22, 35
2.506, 35.83, 15
1.853, 49.17, 13
1.811, 50.38, 24
1.573, 58.67, 29
1.523, 60.82, 12
1.490, 62.32, 12
1.199, 80.00, 6
1.177, 81.87, 11
1.161, 83.21, 6

Cell and atoms:
Cell lengths 10.6874, 10.6874, 10.6874 Å; angles 151.62, 151.62, 40.58 degrees
Fractional positions:
Li (0.0000, 0.0000, 0.0000)
La (0.1210, 0.6210, 0.5000)
La (0.2480, 0.2480, 0.0000)
La (0.3790, 0.8790, 0.5000)
La (0.6210, 0.1210, 0.5000)
La (0.7520, 0.7520, 0.0000)
La (0.8790, 0.3790, 0.5000)
Y (0.5000, 0.5000, 0.0000)

(2)
Structure and computed X-ray powder pattern of K4SrAu5 (a structure optimized by DFT (PBE); λ = 1.5418 Å (Cu Kα)).

Principal peaks in the range 2θ from 10° to 90°, low angle first:
d (Å), two_theta, I_rel
3.975, 22.37, 41
2.811, 31.84, 100
2.295, 39.25, 12
1.991, 45.56, 4
1.986, 45.69, 13
1.778, 51.39, 9
1.776, 51.45, 7
1.623, 56.73, 33
1.406, 66.50, 5
1.404, 66.60, 4
1.325, 71.18, 6
1.256, 75.72, 11

Cell and atoms:
Cell lengths 3.9716, 3.9716, 19.9118 Å; angles 90.00, 90.00, 90.00 degrees
Fractional positions:
K (0.0000, 0.0000, 0.0996)
K (0.0000, 0.0000, 0.2990)
K (0.0000, 0.0000, 0.7010)
K (0.0000, 0.0000, 0.9004)
Sr (0.0000, 0.0000, 0.5000)
Au (0.5000, 0.5000, 0.0000)
Au (0.5000, 0.5000, 0.2016)
Au (0.5000, 0.5000, 0.4186)
Au (0.5000, 0.5000, 0.5814)
Au (0.5000, 0.5000, 0.7984)

(3)
Structure and computed X-ray powder pattern of GaIr2C (a structure optimized by DFT (PBE); λ = 1.5418 Å (Cu Kα)).

Principal peaks in the range 2θ from 10° to 90°, low angle first:
d (Å), two_theta, I_rel
3.899, 22.81, 100
2.702, 33.15, 22
2.451, 36.67, 48
2.279, 39.55, 46
2.219, 40.66, 58
2.127, 42.50, 29
2.096, 43.15, 27
2.063, 43.88, 43
2.026, 44.72, 31
1.949, 46.59, 28
1.326, 71.07, 19
1.223, 78.19, 19

Cell and atoms:
Cell lengths 4.9288, 4.9288, 8.1463 Å; angles 95.52, 95.52, 33.26 degrees
Fractional positions:
Ga (0.0000, 0.0000, 0.0000)
Ga (0.6383, 0.6383, 0.6728)
Ir (0.3588, 0.3588, 0.7678)
Ir (0.5897, 0.5897, 0.2758)
Ir (0.7323, 0.7323, 0.0117)
Ir (0.9356, 0.9356, 0.5012)
C (0.2496, 0.2496, 0.2174)
C (0.3782, 0.3782, 0.3266)

(4)
Structure and computed X-ray powder pattern of RbAcI2O (a structure optimized by DFT (PBE); λ = 1.5418 Å (Cu Kα)).

Principal peaks in the range 2θ from 10° to 90°, low angle first:
d (Å), two_theta, I_rel
8.443, 10.48, 15
4.222, 21.04, 12
3.565, 24.97, 23
3.258, 27.37, 80
3.113, 28.68, 100
2.579, 34.78, 18
2.304, 39.10, 35
1.937, 46.91, 17
1.852, 49.20, 45
1.629, 56.49, 12
1.457, 63.89, 16
1.223, 78.14, 12

Cell and atoms:
Cell lengths 4.6078, 4.6078, 16.8865 Å; angles 90.00, 90.00, 90.00 degrees
Fractional positions:
Rb (0.2500, 0.2500, 0.0894)
Rb (0.7500, 0.7500, 0.9106)
Ac (0.2500, 0.2500, 0.5648)
Ac (0.7500, 0.7500, 0.4352)
I (0.2500, 0.2500, 0.3297)
I (0.2500, 0.2500, 0.8579)
I (0.7500, 0.7500, 0.1421)
I (0.7500, 0.7500, 0.6703)
O (0.2500, 0.7500, 0.5000)
O (0.7500, 0.2500, 0.5000)

(5)
Structure and computed X-ray powder pattern of Ho6Ga3Cu (a structure optimized by DFT (PBE); λ = 1.5418 Å (Cu Kα)).

Principal peaks in the range 2θ from 10° to 90°, low angle first:
d (Å), two_theta, I_rel
4.052, 21.94, 11
3.444, 25.87, 20
2.848, 31.41, 85
2.505, 35.84, 100
2.371, 37.94, 34
1.881, 48.39, 25
1.722, 53.18, 13
1.508, 61.51, 25
1.504, 61.66, 25
1.446, 64.42, 18
1.419, 65.80, 14
1.253, 75.97, 11

Cell and atoms:
Cell lengths 8.6765, 11.3267, 5.0115 Å; angles 90.00, 90.00, 90.00 degrees
Fractional positions:
Ho (0.0032, 0.2448, 0.0000)
Ho (0.1663, 0.0848, 0.5000)
Ho (0.1686, 0.4146, 0.5000)
Ho (0.3314, 0.9146, 0.0000)
Ho (0.3337, 0.5848, 0.0000)
Ho (0.4968, 0.7448, 0.5000)
Ho (0.5032, 0.2552, 0.5000)
Ho (0.6663, 0.4152, 0.0000)
Ho (0.6686, 0.0854, 0.0000)
Ho (0.8314, 0.5854, 0.5000)
Ho (0.8337, 0.9152, 0.5000)
Ho (0.9968, 0.7552, 0.0000)
Ga (0.0000, 0.5000, 0.0000)
Ga (0.1633, 0.7549, 0.5000)
Ga (0.3367, 0.2549, 0.0000)
Ga (0.5000, 0.0000, 0.5000)
Ga (0.6633, 0.7451, 0.0000)
Ga (0.8367, 0.2451, 0.5000)
Cu (0.0000, 0.0000, 0.0000)
Cu (0.5000, 0.5000, 0.5000)

(6)
Structure and computed X-ray powder pattern of NpPaOs (a structure optimized by DFT (PBE); λ = 1.5418 Å (Cu Kα)).

Principal peaks in the range 2θ from 10° to 90°, low angle first:
d (Å), two_theta, I_rel
2.474, 36.32, 29
2.393, 37.59, 100
2.293, 39.29, 23
1.702, 53.86, 8
1.682, 54.57, 18
1.412, 66.18, 20
1.402, 66.70, 8
1.367, 68.67, 8
1.342, 70.10, 17
1.237, 77.12, 4
1.196, 80.24, 10
1.147, 84.50, 3

Cell and atoms:
Cell lengths 5.5979, 5.5979, 4.9474 Å; angles 90.00, 90.00, 131.63 degrees
Fractional positions:
Np (0.0877, 0.9123, 0.7500)
Np (0.9123, 0.0877, 0.2500)
Pa (0.2490, 0.7510, 0.2500)
Pa (0.7510, 0.2490, 0.7500)
Os (0.4369, 0.5631, 0.7500)
Os (0.5631, 0.4369, 0.2500)

(7)
Structure and computed X-ray powder pattern of Mg5Si9 (a structure optimized by DFT (PBE); λ = 1.5418 Å (Cu Kα)).

Principal peaks in the range 2θ from 10° to 90°, low angle first:
d (Å), two_theta, I_rel
2.727, 32.85, 47
2.629, 34.10, 45
2.592, 34.60, 52
2.570, 34.91, 64
2.490, 36.07, 79
2.475, 36.30, 56
2.448, 36.71, 45
2.387, 37.68, 50
2.351, 38.28, 47
2.293, 39.29, 42
2.260, 39.88, 60
2.172, 41.57, 100

Cell and atoms:
Cell lengths 6.3361, 7.1704, 12.8573 Å; angles 85.27, 81.03, 66.70 degrees
Fractional positions:
Mg (0.0000, 0.0000, 0.0000)
Mg (0.0011, 0.1646, 0.4332)
Mg (0.2429, 0.6586, 0.3868)
Mg (0.3651, 0.7419, 0.7433)
Mg (0.4078, 0.1693, 0.0421)
Mg (0.4584, 0.2136, 0.4474)
Mg (0.6588, 0.3099, 0.1946)
Mg (0.7167, 0.3365, 0.8419)
Mg (0.7855, 0.5996, 0.3348)
Mg (0.7958, 0.8544, 0.5524)
Si (0.0266, 0.4520, 0.5591)
Si (0.0709, 0.5663, 0.1196)
Si (0.0947, 0.1373, 0.6645)
Si (0.1329, 0.0434, 0.2130)
Si (0.1472, 0.4624, 0.8450)
Si (0.2184, 0.3245, 0.2611)
Si (0.2973, 0.6066, 0.9597)
Si (0.3468, 0.8762, 0.5316)
Si (0.3914, 0.1559, 0.7653)
Si (0.4690, 0.7365, 0.1825)
Si (0.5896, 0.7090, 0.9927)
Si (0.6124, 0.5166, 0.5316)
Si (0.6786, 0.2198, 0.6399)
Si (0.6893, 0.9394, 0.8674)
Si (0.7495, 0.8858, 0.1681)
Si (0.8421, 0.9573, 0.3294)
Si (0.8527, 0.6550, 0.7411)
Si (0.9233, 0.4018, 0.0096)

(8)
Structure and computed X-ray powder pattern of Tc2I7Br2 (a structure optimized by DFT (PBE); λ = 1.5418 Å (Cu Kα)).

Principal peaks in the range 2θ from 10° to 90°, low angle first:
d (Å), two_theta, I_rel
7.086, 12.49, 30
6.415, 13.80, 45
5.786, 15.31, 88
4.323, 20.54, 61
4.114, 21.60, 100
3.788, 23.49, 35
3.336, 26.73, 42
3.314, 26.91, 38
3.257, 27.38, 35
3.223, 27.68, 43
2.896, 30.88, 64
2.164, 41.74, 29

Cell and atoms:
Cell lengths 8.9394, 8.9394, 15.1239 Å; angles 91.53, 91.53, 104.86 degrees
Fractional positions:
Tc (0.1523, 0.2056, 0.3345)
Tc (0.2056, 0.1523, 0.8345)
Tc (0.7944, 0.8477, 0.1655)
Tc (0.8477, 0.7944, 0.6655)
I (0.0688, 0.7831, 0.5653)
I (0.0704, 0.9296, 0.2500)
I (0.1739, 0.4062, 0.2169)
I (0.2169, 0.9312, 0.9347)
I (0.2713, 0.4007, 0.9287)
I (0.4007, 0.2713, 0.4287)
I (0.4062, 0.1739, 0.7169)
I (0.5938, 0.8261, 0.2831)
I (0.5993, 0.7287, 0.5713)
I (0.7287, 0.5993, 0.0713)
I (0.7831, 0.0688, 0.0653)
I (0.8261, 0.5938, 0.7831)
I (0.9296, 0.0704, 0.7500)
I (0.9312, 0.2169, 0.4347)
Br (0.2412, 0.6805, 0.0733)
Br (0.3195, 0.7588, 0.4267)
Br (0.6805, 0.2412, 0.5733)
Br (0.7588, 0.3195, 0.9267)

(9)
Structure and computed X-ray powder pattern of CdSi4Cl (a structure optimized by DFT (PBE); λ = 1.5418 Å (Cu Kα)).

Principal peaks in the range 2θ from 10° to 90°, low angle first:
d (Å), two_theta, I_rel
4.359, 20.37, 32
3.775, 23.57, 20
2.669, 33.57, 61
2.276, 39.59, 100
2.179, 41.43, 19
1.732, 52.86, 8
1.688, 54.34, 8
1.541, 60.03, 21
1.453, 64.09, 30
1.335, 70.57, 20
1.194, 80.45, 9
1.151, 84.07, 11

Cell and atoms:
Cell lengths 5.3385, 5.3385, 5.3385 Å; angles 60.00, 60.00, 60.00 degrees
Fractional positions:
Cd (0.0000, 0.0000, 0.0000)
Si (0.1275, 0.6242, 0.6242)
Si (0.6242, 0.1275, 0.6242)
Si (0.6242, 0.6242, 0.1275)
Si (0.6242, 0.6242, 0.6242)
Cl (0.2500, 0.2500, 0.2500)

(10)
Structure and computed X-ray powder pattern of Tm5Ge5Rh2 (a structure optimized by DFT (PBE); λ = 1.5418 Å (Cu Kα)).

Principal peaks in the range 2θ from 10° to 90°, low angle first:
d (Å), two_theta, I_rel
3.496, 25.48, 19
3.189, 27.98, 24
2.686, 33.36, 100
2.552, 35.16, 45
2.522, 35.60, 51
2.468, 36.40, 29
2.389, 37.65, 24
2.325, 38.72, 28
2.274, 39.63, 74
2.109, 42.88, 46
1.626, 56.61, 25
1.283, 73.87, 17

Cell and atoms:
Cell lengths 7.8020, 7.8020, 10.4668 Å; angles 129.13, 129.13, 31.37 degrees
Fractional positions:
Tm (0.0000, 0.0000, 0.0000)
Tm (0.1207, 0.1207, 0.4201)
Tm (0.1865, 0.1865, 0.8210)
Tm (0.8135, 0.8135, 0.1790)
Tm (0.8793, 0.8793, 0.5799)
Ge (0.2562, 0.2562, 0.3011)
Ge (0.4411, 0.4411, 0.1573)
Ge (0.5000, 0.5000, 0.5000)
Ge (0.5589, 0.5589, 0.8427)
Ge (0.7438, 0.7438, 0.6989)
Rh (0.3562, 0.3562, 0.7549)
Rh (0.6438, 0.6438, 0.2451)

Please write out number 10 again, unchanged.
Structure and computed X-ray powder pattern of Tm5Ge5Rh2 (a structure optimized by DFT (PBE); λ = 1.5418 Å (Cu Kα)).

Principal peaks in the range 2θ from 10° to 90°, low angle first:
d (Å), two_theta, I_rel
3.496, 25.48, 19
3.189, 27.98, 24
2.686, 33.36, 100
2.552, 35.16, 45
2.522, 35.60, 51
2.468, 36.40, 29
2.389, 37.65, 24
2.325, 38.72, 28
2.274, 39.63, 74
2.109, 42.88, 46
1.626, 56.61, 25
1.283, 73.87, 17

Cell and atoms:
Cell lengths 7.8020, 7.8020, 10.4668 Å; angles 129.13, 129.13, 31.37 degrees
Fractional positions:
Tm (0.0000, 0.0000, 0.0000)
Tm (0.1207, 0.1207, 0.4201)
Tm (0.1865, 0.1865, 0.8210)
Tm (0.8135, 0.8135, 0.1790)
Tm (0.8793, 0.8793, 0.5799)
Ge (0.2562, 0.2562, 0.3011)
Ge (0.4411, 0.4411, 0.1573)
Ge (0.5000, 0.5000, 0.5000)
Ge (0.5589, 0.5589, 0.8427)
Ge (0.7438, 0.7438, 0.6989)
Rh (0.3562, 0.3562, 0.7549)
Rh (0.6438, 0.6438, 0.2451)